[1]
Computed X-ray diffraction stick pattern
Compound: LiCeThN3
Radiation: λ = 1.5418 Å (Cu Kα)
Structure: the PBE geometry in Alexandria
No peak broadening, texture or thermal motion is included.

Structural model:
Cell: 6.396 3.615 8.808 Å, 90.00 100.89 90.00°
Space group P2_1/m (No. 11)
One atom of each set of equivalent atoms:
Li 0.145 0.250 0.054
Ce 0.221 0.750 0.733
Th 0.316 0.750 0.341
N 0.040 0.250 0.822
N 0.294 0.250 0.547
N 0.430 0.250 0.210

Main lines, sorted by position (5° ≤ 2θ ≤ 70°):
| index | Position (°2θ) | I/Imax |
| --- | --- | --- |
| 0 0 1 | 10.23 | 92.6 |
| 0 0 2 | 20.54 | 62.6 |
| 2 0 0 | 28.41 | 42.1 |
| 1 1 0 | 28.49 | 100.0 |
| 1 1 1 | 31.26 | 30.9 |
| 2 0 -2 | 31.90 | 36.9 |
| 2 0 1 | 32.11 | 36.7 |
| 1 1 -2 | 33.70 | 71.3 |
| 1 1 -3 | 40.47 | 27.8 |
| 3 1 -2 | 51.40 | 27.3 |

[2]
Computed X-ray diffraction stick pattern
Compound: NaLiCeO3
Radiation: λ = 1.5418 Å (Cu Kα)
Structure: the PBE geometry in Alexandria
No peak broadening, texture or thermal motion is included.

Structural model:
Cell: 3.517 10.492 9.135 Å, 90.00 90.00 90.00°
Space group Cmcm (No. 63)
One atom of each set of equivalent atoms:
Na 0.000 0.234 0.250
Li 0.000 0.034 0.750
Ce 0.000 0.500 0.000
O 0.000 0.118 0.568
O 0.000 0.443 0.750

Main lines, sorted by position (5° ≤ 2θ ≤ 70°):
| index | Position (°2θ) | I/Imax |
| --- | --- | --- |
| 0 2 0 | 16.90 | 100.0 |
| 0 0 2 | 19.43 | 50.4 |
| 0 2 2 | 25.86 | 83.8 |
| 1 1 0 | 26.74 | 52.9 |
| 1 1 2 | 33.27 | 52.7 |
| 1 3 0 | 36.22 | 46.5 |
| 1 3 2 | 41.43 | 43.7 |
| 1 1 4 | 48.30 | 31.2 |
| 1 3 4 | 54.63 | 20.9 |
| 1 5 2 | 54.76 | 28.5 |

[3]
Computed X-ray diffraction stick pattern
Compound: Na3LiCe3S8
Radiation: λ = 1.5418 Å (Cu Kα)
Structure: the PBE geometry in Alexandria
No peak broadening, texture or thermal motion is included.

Structural model:
Cell: 8.0605 8.0605 19.6961 Å, 90.00 90.00 120.00°
Space group R-3m (No. 166, hexagonal axes)
One atom of each set of equivalent atoms:
Na 0.0000 0.5000 0.0000
Li 0.0000 0.0000 0.5000
Ce 0.0000 0.5000 0.5000
S 0.0000 0.0000 0.2452
S 0.0063 0.5031 0.7615

Main lines, sorted by position (5° ≤ 2θ ≤ 70°):
| index | Position (°2θ) | I/Imax |
| --- | --- | --- |
| 0 0 3 | 13.48 | 87.1 |
| 0 1 2 | 15.56 | 24.5 |
| 1 1 0 | 22.07 | 21.3 |
| 0 2 1 | 25.93 | 41.6 |
| 0 0 6 | 27.12 | 17.8 |
| 0 2 4 | 31.42 | 100.0 |
| 0 2 7 | 41.21 | 22.8 |
| 2 2 0 | 45.02 | 68.7 |
| 2 2 3 | 47.19 | 22.1 |
| 4 0 4 | 55.90 | 18.0 |